The following is a simulated X-ray diffraction stick pattern of Zn2PHO5. It was derived from a PBE-relaxed structure, using Cu Kα X-rays.
No peak broadening, texture or thermal motion is included.

The 12 most intense peaks (15 to 90 degrees two-theta), most intense first:
| Position (°2θ) | d/Å | I (rel.) | h k l |
| --- | --- | --- | --- |
| 15.1 | 5.870 | 100 | 1 1 0 |
| 33.3 | 2.694 | 99 | 1 1 2 |
| 18.2 | 4.879 | 91 | 1 0 1 |
| 30.5 | 2.935 | 87 | 2 2 0 |
| 33.9 | 2.645 | 71 | 1 3 0 |
| 18.0 | 4.915 | 68 | 0 1 1 |
| 34.4 | 2.604 | 53 | 3 1 0 |
| 24.1 | 3.690 | 47 | 2 1 0 |
| 55.9 | 1.644 | 47 | 3 3 2 |
| 36.6 | 2.457 | 44 | 0 2 2 |
| 38.4 | 2.343 | 36 | 2 1 2 |
| 53.9 | 1.701 | 36 | 4 0 2 |

Cell: 8.217 8.390 6.064 Å, 90.00 90.00 90.00°
Space group Pnnm (No. 58)
Inequivalent atoms, fractional coordinates:
Zn (0.000, 0.000, 0.247) x4
Zn (0.136, 0.363, 0.000) x4
P (0.250, 0.239, 0.500) x4
H (0.224, 0.078, 0.000) x4
O (0.084, 0.147, 0.500) x4
O (0.114, 0.609, 0.000) x4
O (0.115, 0.124, 0.000) x4
O (0.234, 0.847, 0.208) x8

***

The following is a simulated X-ray diffraction stick pattern of ErLuMn2. It was derived from a PBE-relaxed structure, using Cu Kα X-rays.
No peak broadening, texture or thermal motion is included.

The 12 most intense peaks (15 to 90 degrees two-theta), most intense first:
| Position (°2θ) | d/Å | I (rel.) | h k l |
| --- | --- | --- | --- |
| 37.1 | 2.423 | 100 | 1 1 1 |
| 36.4 | 2.471 | 53 | 2 0 0 |
| 65.9 | 1.417 | 36 | 3 1 1 |
| 25.5 | 3.495 | 33 | 1 1 0 |
| 52.4 | 1.747 | 18 | 2 2 0 |
| 67.4 | 1.390 | 17 | 2 0 2 |
| 26.5 | 3.363 | 15 | 0 0 1 |
| 45.5 | 1.991 | 15 | 2 0 1 |
| 79.0 | 1.212 | 11 | 2 2 2 |
| 88.5 | 1.105 | 8 | 4 2 0 |
| 88.9 | 1.101 | 8 | 3 3 1 |
| 54.6 | 1.682 | 8 | 0 0 2 |

Cell: 4.942 4.942 3.363 Å, 90.00 90.00 90.00°
Space group P4/mmm (No. 123)
Inequivalent atoms, fractional coordinates:
Er (0.000, 0.000, 0.000) x1
Lu (0.500, 0.500, 0.000) x1
Mn (0.000, 0.500, 0.500) x2

***

The following is a simulated X-ray diffraction stick pattern of Hg5H4Br2. It was derived from a PBE-relaxed structure, using Cu Kα X-rays.
No peak broadening, texture or thermal motion is included.

The 12 most intense peaks (15 to 90 degrees two-theta), most intense first:
| Position (°2θ) | d/Å | I (rel.) | h k l |
| --- | --- | --- | --- |
| 27.4 | 3.251 | 100 | 1 0 2 |
| 25.3 | 3.521 | 67 | 0 1 2 |
| 31.5 | 2.841 | 35 | 1 2 -1 |
| 45.9 | 1.976 | 22 | 1 1 4 |
| 43.1 | 2.098 | 20 | 1 3 1 |
| 44.9 | 2.018 | 17 | 0 2 -3 |
| 38.4 | 2.345 | 15 | 1 1 -3 |
| 47.1 | 1.931 | 14 | 0 3 -1 |
| 39.4 | 2.285 | 13 | 2 2 1 |
| 36.9 | 2.434 | 10 | 2 1 -1 |
| 20.8 | 4.277 | 9 | 1 0 1 |
| 29.5 | 3.030 | 9 | -1 1 1 |

Cell: 5.187 6.424 8.479 Å, 86.86 86.83 69.24°
Space group P-1 (No. 2)
Inequivalent atoms, fractional coordinates:
Hg (0.000, 0.000, 0.000) x1
Hg (0.197, 0.132, 0.410) x2
Hg (0.217, 0.285, 0.856) x2
H (0.099, 0.259, 0.582) x2
H (0.307, 0.990, 0.243) x2
Br (0.411, 0.599, 0.757) x2

***

The following is a simulated X-ray diffraction stick pattern of Zr3AlNi2. It was derived from a PBE-relaxed structure, using Cu Kα X-rays.
No peak broadening, texture or thermal motion is included.

The 12 most intense peaks (15 to 90 degrees two-theta), most intense first:
| Position (°2θ) | d/Å | I (rel.) | h k l |
| --- | --- | --- | --- |
| 37.9 | 2.373 | 100 | 1 3 1 |
| 39.4 | 2.285 | 20 | 0 6 0 |
| 45.5 | 1.995 | 15 | 0 0 2 |
| 47.0 | 1.933 | 14 | 2 0 0 |
| 25.8 | 3.448 | 12 | 0 2 1 |
| 70.5 | 1.336 | 11 | 1 9 1 |
| 81.1 | 1.186 | 11 | 2 6 2 |
| 79.0 | 1.212 | 11 | 1 3 3 |
| 61.7 | 1.503 | 10 | 0 6 2 |
| 81.2 | 1.184 | 10 | 3 3 1 |
| 63.0 | 1.476 | 10 | 2 6 0 |
| 67.5 | 1.388 | 9 | 2 0 2 |

Cell: 3.865 13.712 3.989 Å, 90.00 90.00 90.00°
Space group Cmmm (No. 65)
Inequivalent atoms, fractional coordinates:
Zr (0.000, 0.000, 0.000) x2
Zr (0.000, 0.168, 0.500) x4
Al (0.000, 0.500, 0.500) x2
Ni (0.000, 0.352, 0.000) x4

***

The following is a simulated X-ray diffraction stick pattern of Ac2Th3Te8. It was derived from a PBE-relaxed structure, using Cu Kα X-rays.
No peak broadening, texture or thermal motion is included.

The 12 most intense peaks (15 to 90 degrees two-theta), most intense first:
| Position (°2θ) | d/Å | I (rel.) | h k l |
| --- | --- | --- | --- |
| 32.4 | 2.766 | 100 | 2 4 1 |
| 32.7 | 2.739 | 50 | 0 0 2 |
| 58.1 | 1.586 | 37 | 2 4 3 |
| 19.7 | 4.502 | 34 | 0 2 1 |
| 46.9 | 1.937 | 18 | 4 0 2 |
| 57.5 | 1.602 | 17 | 0 8 2 |
| 38.5 | 2.340 | 13 | 4 2 1 |
| 67.8 | 1.383 | 10 | 4 8 2 |
| 78.0 | 1.225 | 9 | 4 0 4 |
| 45.9 | 1.976 | 9 | 0 8 0 |
| 77.8 | 1.227 | 8 | 6 4 3 |
| 68.5 | 1.369 | 7 | 0 0 4 |

Cell: 10.960 15.806 5.475 Å, 90.00 90.00 90.00°
Space group Cmmm (No. 65)
Inequivalent atoms, fractional coordinates:
Ac (0.000, 0.237, 0.000) x4
Th (0.000, 0.500, 0.000) x2
Th (0.239, 0.000, 0.500) x4
Te (0.000, 0.120, 0.500) x4
Te (0.000, 0.386, 0.500) x4
Te (0.240, 0.382, 0.000) x8

***

The following is a simulated X-ray diffraction stick pattern of Nd5Bi4P. It was derived from a PBE-relaxed structure, using Cu Kα X-rays.
No peak broadening, texture or thermal motion is included.

The 12 most intense peaks (15 to 90 degrees two-theta), most intense first:
| Position (°2θ) | d/Å | I (rel.) | h k l |
| --- | --- | --- | --- |
| 39.8 | 2.265 | 100 | 2 0 0 |
| 27.8 | 3.207 | 93 | 1 1 0 |
| 27.9 | 3.194 | 41 | 0 0 10 |
| 49.3 | 1.849 | 36 | 2 0 10 |
| 72.2 | 1.308 | 23 | 3 1 10 |
| 65.0 | 1.434 | 17 | 3 1 0 |
| 65.1 | 1.433 | 16 | 2 2 10 |
| 65.3 | 1.430 | 13 | 1 1 20 |
| 57.5 | 1.603 | 12 | 2 2 0 |
| 72.4 | 1.306 | 9 | 2 0 20 |
| 32.0 | 2.795 | 6 | 1 0 9 |
| 85.9 | 1.132 | 6 | 2 2 20 |

Cell: 4.535 4.535 31.944 Å, 90.00 90.00 90.00°
Space group I4/mmm (No. 139)
Inequivalent atoms, fractional coordinates:
Nd (0.000, 0.000, 0.000) x2
Nd (0.000, 0.000, 0.201) x4
Nd (0.000, 0.000, 0.409) x4
Bi (0.000, 0.000, 0.099) x4
Bi (0.000, 0.000, 0.303) x4
P (0.000, 0.000, 0.500) x2

***

The following is a simulated X-ray diffraction stick pattern of KBeP. It was derived from a PBE-relaxed structure, using Cu Kα X-rays.
No peak broadening, texture or thermal motion is included.

The 12 most intense peaks (15 to 90 degrees two-theta), most intense first:
| Position (°2θ) | d/Å | I (rel.) | h k l |
| --- | --- | --- | --- |
| 31.7 | 2.819 | 100 | 1 1 2 |
| 29.9 | 2.988 | 70 | 2 0 1 |
| 29.0 | 3.082 | 52 | 1 1 1 |
| 26.4 | 3.370 | 37 | 1 0 3 |
| 35.9 | 2.499 | 37 | 1 1 3 |
| 29.6 | 3.018 | 35 | 0 0 4 |
| 60.3 | 1.535 | 24 | 2 1 6 |
| 56.0 | 1.643 | 18 | 3 1 3 |
| 48.9 | 1.862 | 18 | 0 2 0 |
| 33.0 | 2.711 | 18 | 1 0 4 |
| 36.7 | 2.448 | 18 | 2 0 3 |
| 58.4 | 1.580 | 17 | 2 2 1 |

Cell: 6.168 3.724 12.072 Å, 90.00 90.00 90.00°
Space group Pnma (No. 62)
Inequivalent atoms, fractional coordinates:
K (0.090, 0.250, 0.159) x4
Be (0.065, 0.250, 0.465) x4
P (0.149, 0.750, 0.393) x4

***

The following is a simulated X-ray diffraction stick pattern of Nb5Mo6. It was derived from a PBE-relaxed structure, using Cu Kα X-rays.
No peak broadening, texture or thermal motion is included.

The 12 most intense peaks (15 to 90 degrees two-theta), most intense first:
| Position (°2θ) | d/Å | I (rel.) | h k l |
| --- | --- | --- | --- |
| 39.9 | 2.258 | 100 | 1 2 3 |
| 39.8 | 2.268 | 25 | 2 0 0 |
| 40.0 | 2.253 | 25 | 0 0 6 |
| 57.7 | 1.597 | 25 | 0 4 0 |
| 72.6 | 1.302 | 24 | 0 4 6 |
| 72.3 | 1.307 | 17 | 3 2 3 |
| 86.1 | 1.129 | 11 | 2 4 6 |
| 72.4 | 1.305 | 8 | 2 4 0 |
| 15.4 | 5.772 | 4 | 0 1 1 |
| 27.5 | 3.243 | 3 | 1 1 2 |
| 85.7 | 1.134 | 3 | 4 0 0 |
| 86.4 | 1.126 | 3 | 0 0 12 |

Cell: 4.535 6.384 13.515 Å, 90.00 90.00 90.00°
Space group Immm (No. 71)
Inequivalent atoms, fractional coordinates:
Nb (0.000, 0.000, 0.000) x2
Nb (0.000, 0.000, 0.336) x4
Nb (0.000, 0.500, 0.333) x4
Mo (0.000, 0.246, 0.500) x4
Mo (0.000, 0.252, 0.164) x8

***

The following is a simulated X-ray diffraction stick pattern of PaTePbO5. It was derived from a PBE-relaxed structure, using Cu Kα X-rays.
No peak broadening, texture or thermal motion is included.

The 12 most intense peaks (15 to 90 degrees two-theta), most intense first:
| Position (°2θ) | d/Å | I (rel.) | h k l |
| --- | --- | --- | --- |
| 27.9 | 3.203 | 100 | 2 0 0 |
| 23.1 | 3.846 | 56 | 1 1 -2 |
| 29.6 | 3.015 | 50 | 1 3 0 |
| 49.6 | 1.838 | 30 | 1 3 -4 |
| 34.0 | 2.638 | 25 | 2 2 -2 |
| 30.8 | 2.901 | 20 | 1 1 2 |
| 41.5 | 2.174 | 17 | 3 1 -2 |
| 45.0 | 2.015 | 16 | 2 2 2 |
| 43.6 | 2.074 | 15 | 2 0 -4 |
| 50.4 | 1.810 | 14 | 3 3 0 |
| 44.1 | 2.053 | 13 | 0 0 4 |
| 16.3 | 5.431 | 12 | 1 1 0 |

Cell: 6.801 10.253 8.720 Å, 90.00 109.68 90.00°
Space group C2/c (No. 15)
Inequivalent atoms, fractional coordinates:
Pa (0.000, 0.000, 0.000) x4
Te (0.000, 0.340, 0.250) x4
Pb (0.000, 0.291, 0.750) x4
O (0.000, 0.035, 0.750) x4
O (0.025, 0.204, 0.030) x8
O (0.146, 0.480, 0.401) x8

***

The following is a simulated X-ray diffraction stick pattern of HoU2S3O2. It was derived from a PBE-relaxed structure, using Cu Kα X-rays.
No peak broadening, texture or thermal motion is included.

The 12 most intense peaks (15 to 90 degrees two-theta), most intense first:
| Position (°2θ) | d/Å | I (rel.) | h k l |
| --- | --- | --- | --- |
| 26.6 | 3.348 | 100 | 1 0 3 |
| 33.3 | 2.690 | 53 | 1 1 0 |
| 42.3 | 2.138 | 39 | 1 1 6 |
| 25.3 | 3.524 | 29 | 0 0 6 |
| 55.6 | 1.654 | 29 | 2 1 3 |
| 31.6 | 2.828 | 28 | 1 0 5 |
| 47.8 | 1.902 | 23 | 2 0 0 |
| 38.0 | 2.365 | 18 | 1 0 7 |
| 54.8 | 1.674 | 15 | 2 0 6 |
| 55.3 | 1.662 | 14 | 1 1 10 |
| 45.4 | 1.999 | 13 | 1 0 9 |
| 85.2 | 1.138 | 11 | 3 1 6 |

Cell: 3.804 3.804 21.142 Å, 90.00 90.00 90.00°
Space group I4/mmm (No. 139)
Inequivalent atoms, fractional coordinates:
Ho (0.000, 0.000, 0.000) x2
U (0.000, 0.000, 0.313) x4
S (0.000, 0.000, 0.129) x4
S (0.000, 0.000, 0.500) x2
O (0.000, 0.500, 0.250) x4